Ca3Si4Sn2O14: calculated powder X-ray diffraction pattern (λ = 1.5418 Å (Cu Kα)), based on the PBE geometry in Alexandria.
No peak broadening, texture or thermal motion is included.

Structure:
```
46
Lattice="8.232 -3.775 0.000 8.232 3.775 0.000 -5.754 0.000 9.998" Properties=species:S:1:pos:R:3 pbc="T T T"
Ca 3.917 2.474 7.498
Ca 1.511 0.132 4.952
Ca -1.366 -0.132 9.951
Ca 12.076 0.132 0.047
Ca 9.200 -0.132 5.046
Ca 6.794 -2.474 2.499
Si 1.617 0.873 0.807
Si 3.347 2.011 2.933
Si -1.260 -0.873 5.806
Si 10.241 2.011 2.066
Si 0.470 -2.011 7.931
Si 11.970 0.873 4.192
Si 7.364 -2.011 7.065
Si 9.093 -0.873 9.191
Sn 6.794 1.478 2.499
Sn 8.232 0.000 0.000
Sn 5.355 0.000 4.999
Sn 3.917 -1.478 7.498
O -0.544 2.032 8.711
O 0.492 1.798 6.222
O -3.687 0.170 9.425
O -1.542 0.241 7.032
O -0.810 -0.170 4.427
O 1.335 -0.241 2.033
O 2.152 1.917 9.128
O 4.497 0.899 3.281
O 5.682 1.917 5.868
O 3.597 0.067 6.021
O 6.474 -0.067 1.022
O 8.377 2.032 6.285
O 3.369 -1.798 1.223
O 9.090 0.899 1.718
O 1.620 -0.899 8.279
O 7.342 1.798 8.774
O 2.333 -2.032 3.713
O 4.236 0.067 8.975
O 7.113 -0.067 3.976
O 5.028 -1.917 4.129
O 6.213 -0.899 6.717
O 8.559 -1.917 0.870
O 9.375 0.241 7.965
O 11.520 0.170 5.571
O 12.252 -0.241 2.966
O 14.397 -0.170 0.572
O 10.218 -1.798 3.775
O 11.254 -2.032 1.286
```

Most intense lines, 2θ = 5–70°, sorted by position:
two_theta  I (rel.)
12.4  36.1
13.3  49.7
22.1  47.5
25.0  37.8
29.7  100.0
31.9  33.9
32.7  60.5
36.0  25.1